(1)
CaCu3P4O14: simulated PXRD pattern (Cu Kα, 1.54184 Å), based on a crystal structure in Alexandria, relaxed with GGA-PBE.
Intensities are scaled so that the largest is 100.

Structural model:
```
44
Lattice="7.3325 0.0000 0.0000 0.0000 7.8743 0.0000 -3.2555 0.0000 8.9037" Properties=species:S:1:pos:R:3 pbc="T T T"
Ca 0.0000 0.0000 0.0000
Ca -1.6277 3.9371 4.4519
Cu 0.7144 1.0312 4.2737
Cu -0.9134 2.9060 8.7255
Cu 3.6663 0.0000 0.0000
Cu 2.0385 3.9371 4.4519
Cu 4.9904 4.9683 0.1782
Cu 3.3626 6.8431 4.6300
P -1.5772 0.3602 6.2285
P 0.0505 3.5769 1.7767
P 2.2673 5.6086 1.7465
P 0.6395 6.2028 6.1983
P 3.4375 1.6715 2.7054
P 1.8098 2.2656 7.1572
P 4.0265 4.2974 7.1270
P 5.6542 7.5141 2.6752
O -1.8207 3.9713 7.2958
O -0.1930 7.8401 2.8440
O -0.9906 1.3987 5.2599
O 0.6371 2.5384 0.8080
O 0.7992 4.9858 1.5081
O -0.8285 6.8256 5.9600
O -1.3454 0.7290 7.7053
O 0.2823 3.2081 3.2535
O 0.5399 4.8410 5.4930
O 2.1676 6.9704 1.0412
O 2.3904 5.6524 3.2931
O 0.7627 6.1590 7.7450
O 3.2635 4.6681 1.0846
O 1.6358 7.1433 5.5365
O 2.4413 0.7309 3.3672
O 0.8135 3.2062 7.8191
O 3.3143 1.7153 1.1587
O 1.6866 2.2219 5.6106
O 1.9094 0.9039 7.8625
O 3.5372 3.0333 3.4107
O 3.7947 4.6662 5.6502
O 5.4225 7.1452 1.1984
O 4.9055 1.0487 2.9437
O 3.2778 2.8884 7.3956
O 3.4399 5.3358 8.0957
O 5.0677 6.4756 3.6438
O 4.2700 0.0342 6.0597
O 5.8978 3.9030 1.6079
```

Principal peaks in the range 10 to 90 degrees two-theta, by angle:
2θ 12.85, intensity 36; 2θ 29.09, intensity 38; 2θ 29.59, intensity 100; 2θ 30.13, intensity 32; 2θ 32.97, intensity 42; 2θ 35.67, intensity 42

(2)
CaCu2P4O14: simulated PXRD pattern (Cu Kα, 1.54184 Å), based on a crystal structure in Alexandria, relaxed with GGA-PBE.
Intensities are scaled so that the largest is 100.

Structural model:
```
42
Lattice="5.4052 0.0000 0.0000 0.0146 7.9877 0.0000 0.6203 0.0428 13.0024" Properties=species:S:1:pos:R:3 pbc="T T T"
Ca 1.3445 1.5371 3.3786
Ca 4.6956 6.4934 9.6238
Cu 1.6272 1.1791 8.0750
Cu 1.9550 5.1584 11.4306
Cu 4.0851 2.8721 1.5718
Cu 4.4129 6.8514 4.9275
P 1.6384 2.4506 12.8247
P 1.7000 4.2854 8.6758
P 1.9448 0.2594 10.7932
P 2.0536 6.4664 6.6986
P 3.9865 1.5641 6.3038
P 4.0953 7.7711 2.2092
P 4.3401 3.7451 4.3266
P 4.4017 5.5799 0.1777
O 0.3603 3.5332 3.9213
O 0.9589 0.9969 9.8380
O 0.5356 5.3080 0.0889
O 1.2754 6.8459 10.9636
O 1.2889 6.6354 5.4306
O 1.4963 7.2718 7.9294
O 1.7812 0.9449 12.2288
O 1.9475 4.9398 7.2174
O 2.2267 3.3238 11.6899
O 1.7457 2.4016 1.1385
O 2.2544 2.8608 8.5371
O 2.4345 1.3177 6.3696
O 2.6964 5.0269 9.6441
O 2.6683 7.8310 2.6366
O 3.3718 0.1995 10.3658
O 3.3437 3.0036 3.3583
O 3.6055 6.7128 6.6328
O 3.7857 5.1697 4.4653
O 4.2944 5.6289 11.8639
O 3.8134 4.7067 1.3125
O 4.0926 3.0907 5.7850
O 4.2589 7.0856 0.7737
O 4.5438 0.7587 5.0730
O 4.7512 1.3951 7.5718
O 4.7647 1.1846 2.0388
O 5.5044 2.7225 12.9135
O 5.0812 7.0336 3.1644
O 5.6798 4.4974 9.0811
```

Principal peaks in the range 10 to 90 degrees two-theta, by angle:
2θ 12.99, intensity 44; 2θ 17.50, intensity 100; 2θ 18.09, intensity 33; 2θ 25.74, intensity 50; 2θ 33.19, intensity 38; 2θ 34.38, intensity 30

(3)
CaCuP2O7: simulated PXRD pattern (Cu Kα, 1.54184 Å), based on a crystal structure in Alexandria, relaxed with GGA-PBE.
Intensities are scaled so that the largest is 100.

Structural model:
```
22
Lattice="6.2841 0.0000 0.0000 0.8313 6.3789 0.0000 0.5945 2.5369 6.7168" Properties=species:S:1:pos:R:3 pbc="T T T"
Ca 1.3783 2.3524 2.4411
Ca 6.3316 6.5634 4.2756
Cu 2.8623 4.4209 5.0150
Cu 4.8476 4.4949 1.7018
P 1.7849 5.2902 1.5922
P 3.5113 7.6043 5.5592
P 4.1986 1.3115 1.1576
P 5.9250 3.6256 5.1246
O 0.8904 4.5417 5.1299
O 1.5519 6.5589 2.3781
O 2.1167 5.7278 0.0957
O 2.6366 6.4577 5.0219
O 2.7308 2.4055 4.5446
O 2.9231 4.3874 2.1227
O 2.8251 1.7504 0.6847
O 4.8848 7.1654 6.0321
O 4.7868 4.5284 4.5941
O 4.9791 6.5103 2.1722
O 5.0733 2.4581 1.6949
O 5.5932 3.1880 6.6210
O 6.1580 2.3568 4.3387
O 6.8195 4.3741 1.5869
```

Principal peaks in the range 10 to 90 degrees two-theta, by angle:
2θ 26.54, intensity 100; 2θ 27.88, intensity 34; 2θ 28.11, intensity 31; 2θ 29.87, intensity 72; 2θ 31.19, intensity 52; 2θ 32.16, intensity 46

(4)
CaCuP4Ru2O14: simulated PXRD pattern (Cu Kα, 1.54184 Å), based on a crystal structure in Alexandria, relaxed with GGA-PBE.
Intensities are scaled so that the largest is 100.

Structural model:
```
22
Lattice="4.9713 0.0000 0.0000 -2.3559 6.6950 0.0000 -0.4297 -0.6882 8.3163" Properties=species:S:1:pos:R:3 pbc="T T T"
Ca 0.0000 0.0000 0.0000
Cu -0.4271 5.0155 5.4899
P -1.1106 4.5181 1.9370
P 1.0568 0.9960 5.0954
P 2.7305 1.8685 1.1336
P 2.1945 3.6714 5.8513
Ru -0.2135 2.4581 7.6801
Ru 1.3233 6.1295 3.4648
O -1.2543 3.3951 6.1067
O 0.0834 0.8858 3.9415
O -0.5695 4.7150 0.5033
O 0.4627 0.8311 6.5117
O -0.0797 4.6187 3.0503
O 1.2221 2.0110 0.8617
O 2.3421 0.1096 4.9856
O 1.6166 2.4998 4.9483
O 1.4117 3.7880 7.1769
O 3.0232 0.5283 1.7962
O 3.1292 1.2194 8.1381
O 2.1117 4.9532 5.0330
O 3.2373 3.0373 2.1096
O 2.6669 5.5005 2.0151
```

Principal peaks in the range 10 to 90 degrees two-theta, by angle:
2θ 16.33, intensity 46; 2θ 17.72, intensity 100; 2θ 22.51, intensity 69; 2θ 28.60, intensity 69; 2θ 28.92, intensity 45; 2θ 38.53, intensity 55

(5)
CaCuP4Ru2O14: simulated PXRD pattern (Cu Kα, 1.54184 Å), based on a crystal structure in Alexandria, relaxed with GGA-PBE.
Intensities are scaled so that the largest is 100.

Structural model:
```
22
Lattice="5.0062 0.0000 0.0000 -1.8752 6.3824 0.0000 -0.1672 -0.6306 8.7198" Properties=species:S:1:pos:R:3 pbc="T T T"
Ca 0.0000 0.0000 0.0000
Cu 1.9831 2.5010 3.8738
P -0.3986 4.0030 1.3061
P 1.1301 4.6409 5.7989
P 2.7840 0.3640 1.8636
P 4.3252 0.9870 6.2257
Ru -1.4612 5.6540 3.8164
Ru 1.9039 2.1937 8.1124
O -0.2526 0.9972 4.7659
O -0.8160 3.9411 2.7698
O 0.4763 0.9612 7.2610
O -0.2056 5.1986 5.3662
O 0.7209 3.0324 0.9829
O 0.1412 5.5682 1.0304
O 1.8389 0.7560 3.0174
O 0.9671 3.5991 6.8859
O 3.0249 1.3709 0.7311
O 2.1078 4.2721 4.6249
O 1.9032 5.8486 6.6036
O 3.1941 1.9602 6.5001
O 2.2782 6.1752 2.2281
O 3.4513 4.1037 0.2764
```

Principal peaks in the range 10 to 90 degrees two-theta, by angle:
2θ 16.64, intensity 39; 2θ 19.76, intensity 38; 2θ 26.23, intensity 53; 2θ 28.31, intensity 85; 2θ 28.75, intensity 100; 2θ 32.32, intensity 31

(6)
CaCuP4Ru2O14: simulated PXRD pattern (Cu Kα, 1.54184 Å), based on a crystal structure in Alexandria, relaxed with GGA-PBE.
Intensities are scaled so that the largest is 100.

Structural model:
```
22
Lattice="5.0190 0.0000 0.0000 -1.6666 6.5921 0.0000 -0.5827 -0.4637 8.6187" Properties=species:S:1:pos:R:3 pbc="T T T"
Ca 0.0000 0.0000 0.0000
Cu 3.2082 4.4787 2.1759
P 0.3731 3.9672 3.8162
P 1.9614 0.6640 6.9068
P 3.2132 3.1224 7.7865
P 4.1601 1.4211 3.0900
Ru 1.4626 2.4805 1.1084
Ru 2.8463 5.5954 5.3474
O -1.3916 4.3999 7.0589
O -0.6950 2.2294 8.3225
O -0.9215 4.8624 3.8589
O 0.2134 1.0287 2.0234
O -0.1141 2.4535 4.0938
O 0.8707 0.4455 5.8991
O 0.8993 4.0626 2.3605
O 1.5623 0.4557 8.4084
O 1.3720 4.2418 4.9117
O 2.3689 2.2224 6.7563
O 3.2294 -0.1899 6.7460
O 2.9938 2.1998 2.4914
O 2.7632 4.0379 0.2913
O 3.7002 0.2185 3.8898
```

Principal peaks in the range 10 to 90 degrees two-theta, by angle:
2θ 16.50, intensity 100; 2θ 19.86, intensity 38; 2θ 25.37, intensity 25; 2θ 28.24, intensity 65; 2θ 30.60, intensity 35; 2θ 37.27, intensity 29

(7)
SrCaCuP2O8: simulated PXRD pattern (Cu Kα, 1.54184 Å), based on a crystal structure in Alexandria, relaxed with GGA-PBE.
Intensities are scaled so that the largest is 100.

Structural model:
```
26
Lattice="5.9374 0.0000 0.0000 -1.0349 6.7880 0.0000 -2.1653 -3.2427 8.3802" Properties=species:S:1:pos:R:3 pbc="T T T"
Sr 0.1220 -0.0977 3.5760
Sr 2.6152 3.6430 4.8041
Ca 0.4725 1.2357 6.9711
Ca 2.2647 2.3096 1.4091
Cu -0.0533 5.5844 0.3325
Cu 2.7905 -2.0391 8.0476
P -0.4794 3.0954 2.2634
P 0.3104 -2.3569 6.6536
P 2.4269 5.9022 1.7266
P 3.2166 0.4499 6.1168
O -1.3555 0.9217 5.5781
O -0.0734 2.3822 0.9169
O -0.5165 4.6305 2.0128
O -1.9070 3.5283 7.1472
O -0.9811 4.7645 5.1854
O 0.7026 2.6961 3.2082
O 2.1170 -0.0489 1.5662
O 0.4661 -1.0898 7.5373
O 2.2712 4.6351 0.8429
O 0.6202 3.5942 6.8139
O 2.0346 0.8492 5.1720
O 3.7184 -1.2192 3.1948
O 4.6442 0.0170 1.2329
O 3.2537 -1.0852 6.3673
O 2.8107 1.1631 7.4633
O 4.0927 2.6236 2.8021
```

Principal peaks in the range 10 to 90 degrees two-theta, by angle:
2θ 21.45, intensity 38; 2θ 28.55, intensity 100; 2θ 29.78, intensity 43; 2θ 30.48, intensity 36; 2θ 31.21, intensity 44; 2θ 32.66, intensity 56

(8)
CaPaCu2O8: simulated PXRD pattern (Cu Kα, 1.54184 Å), based on a crystal structure in Alexandria, relaxed with GGA-PBE.
Intensities are scaled so that the largest is 100.

Structural model:
```
12
Lattice="-2.6432 2.6432 5.4121 2.6432 -2.6432 5.4121 2.6432 2.6432 -5.4121" Properties=species:S:1:pos:R:3 pbc="T T T"
Ca 0.0000 0.0000 0.0000
Pa 2.6432 0.0000 2.7060
Cu 0.0000 0.0000 5.4121
Cu 0.0000 2.6432 2.7060
O 3.5029 1.5938 -3.0358
O 2.2358 0.6352 0.3618
O 2.0080 -0.4074 5.0503
O -0.8597 1.0494 2.3763
O 0.6352 3.0506 -0.3618
O 1.5938 1.7835 3.0358
O 0.4074 2.0080 5.7738
O 1.0494 0.8597 8.4478
```

Principal peaks in the range 10 to 90 degrees two-theta, by angle:
2θ 18.68, intensity 59; 2θ 29.03, intensity 100; 2θ 33.10, intensity 35; 2θ 33.91, intensity 39; 2θ 48.12, intensity 30; 2θ 57.72, intensity 51